Record 1
Co2PS3: computed XRD peak list (Cu Kα X-rays), based on a crystal structure in the Materials Project, relaxed with GGA-PBE.
Intensities are scaled so that the largest is 100.

```
Co2PS3
1.0
5.431 0.000 0.000
0.000 5.464 0.000
-0.033 0.000 5.484
Co P S
4 2 6
Direct
0.001 0.000 0.245
0.496 0.504 0.248
0.504 0.004 0.752
0.999 0.500 0.755
0.112 0.618 0.133
0.888 0.118 0.867
0.112 0.889 0.637
0.383 0.116 0.136
0.383 0.389 0.638
0.617 0.616 0.864
0.617 0.889 0.362
0.888 0.389 0.363
```

Top 10 peaks for 10 to 90 degrees two-theta, low angle first:
2θ 28.26, intensity 40
2θ 28.37, intensity 44
2θ 32.66, intensity 64
2θ 32.78, intensity 63
2θ 32.98, intensity 61
2θ 36.77, intensity 47
2θ 40.47, intensity 53
2θ 46.95, intensity 53
2θ 47.21, intensity 51
2θ 55.80, intensity 100


Record 2
CoPS3: computed XRD peak list (Cu Kα X-rays), based on a crystal structure in the Materials Project, relaxed with GGA-PBE.
Intensities are scaled so that the largest is 100.

```
CoPS3
1.0
2.885 -4.996 0.000
2.885 4.996 0.000
-1.929 0.000 6.583
Co P S
2 2 6
Direct
0.167 0.833 0.000
0.833 0.167 0.000
0.444 0.444 0.836
0.556 0.556 0.164
0.073 0.427 0.783
0.219 0.219 0.218
0.427 0.073 0.783
0.573 0.927 0.217
0.781 0.781 0.782
0.927 0.573 0.217
```

Top 10 peaks for 10 to 90 degrees two-theta, low angle first:
2θ 13.45, intensity 100
2θ 31.34, intensity 27
2θ 36.04, intensity 22
2θ 36.07, intensity 44
2θ 44.94, intensity 9
2θ 48.54, intensity 14
2θ 55.14, intensity 23
2θ 57.03, intensity 11
2θ 60.77, intensity 5
2θ 67.67, intensity 8


Record 3
ScCoP: computed XRD peak list (Cu Kα X-rays), based on a crystal structure in the Materials Project, relaxed with GGA-PBE.
Intensities are scaled so that the largest is 100.

```
ScCoP
1.0
6.276 0.000 0.000
0.000 3.758 0.000
0.000 0.000 7.025
Sc Co P
4 4 4
Direct
0.019 0.250 0.184
0.481 0.750 0.684
0.519 0.250 0.316
0.981 0.750 0.816
0.147 0.250 0.560
0.353 0.750 0.060
0.647 0.250 0.940
0.853 0.750 0.440
0.221 0.750 0.384
0.279 0.250 0.884
0.721 0.750 0.116
0.779 0.250 0.616
```

Top 10 peaks for 10 to 90 degrees two-theta, low angle first:
2θ 18.96, intensity 32
2θ 37.33, intensity 45
2θ 37.88, intensity 100
2θ 39.55, intensity 90
2θ 41.15, intensity 28
2θ 45.22, intensity 49
2θ 45.65, intensity 80
2θ 48.46, intensity 67
2θ 68.43, intensity 31
2θ 75.00, intensity 29


Record 4
Sc2Co12P7: computed XRD peak list (Cu Kα X-rays), based on a crystal structure in the Materials Project, relaxed with GGA-PBE.
Intensities are scaled so that the largest is 100.

```
Sc2Co12P7
1.0
8.957 0.000 0.000
-4.478 7.757 0.000
0.000 0.000 3.537
Sc Co P
2 12 7
Direct
0.000 0.000 0.000
0.333 0.667 0.500
0.049 0.278 0.500
0.105 0.709 0.000
0.229 0.951 0.500
0.291 0.396 0.000
0.391 0.178 0.000
0.535 0.435 0.500
0.565 0.100 0.500
0.604 0.895 0.000
0.722 0.771 0.500
0.787 0.609 0.000
0.822 0.213 0.000
0.900 0.465 0.500
0.076 0.451 0.000
0.258 0.218 0.500
0.374 0.924 0.000
0.549 0.626 0.000
0.667 0.333 0.000
0.782 0.041 0.500
0.959 0.742 0.500
```

Top 10 peaks for 10 to 90 degrees two-theta, low angle first:
2θ 19.82, intensity 10
2θ 39.94, intensity 100
2θ 43.35, intensity 11
2θ 49.59, intensity 22
2θ 51.34, intensity 15
2θ 51.68, intensity 20
2θ 54.19, intensity 18
2θ 75.84, intensity 9
2θ 78.16, intensity 12
2θ 89.61, intensity 9


Record 5
CoSi3P3: computed XRD peak list (Cu Kα X-rays), based on a crystal structure in the Materials Project, relaxed with GGA-PBE.
Intensities are scaled so that the largest is 100.

```
CoSi3P3
1.0
5.945 0.000 0.000
0.000 5.739 0.000
-0.027 0.000 12.734
Co Si P
4 12 12
Direct
0.007 0.000 0.379
0.482 0.069 0.886
0.518 0.569 0.114
0.993 0.500 0.621
0.064 0.537 0.927
0.078 0.368 0.454
0.173 0.505 0.180
0.361 0.950 0.427
0.373 0.971 0.723
0.473 0.937 0.172
0.527 0.437 0.828
0.627 0.471 0.277
0.639 0.450 0.573
0.827 0.005 0.820
0.922 0.868 0.546
0.936 0.037 0.073
0.025 0.127 0.674
0.125 0.142 0.926
0.131 0.110 0.220
0.346 0.577 0.680
0.415 0.698 0.950
0.438 0.552 0.428
0.562 0.052 0.572
0.585 0.198 0.050
0.654 0.077 0.320
0.869 0.610 0.780
0.875 0.642 0.074
0.975 0.627 0.326
```

Top 10 peaks for 10 to 90 degrees two-theta, low angle first:
2θ 16.45, intensity 46
2θ 20.84, intensity 45
2θ 30.06, intensity 66
2θ 30.19, intensity 38
2θ 31.17, intensity 100
2θ 31.89, intensity 80
2θ 33.96, intensity 31
2θ 35.61, intensity 44
2θ 53.46, intensity 33
2θ 55.17, intensity 44


Record 6
SmCo5P3: computed XRD peak list (Cu Kα X-rays), based on a crystal structure in the Materials Project, relaxed with GGA-PBE.
Intensities are scaled so that the largest is 100.

```
SmCo5P3
1.0
11.814 0.000 0.000
0.000 3.680 0.000
0.000 0.000 10.370
Sm Co P
4 20 12
Direct
0.203 0.250 0.083
0.297 0.750 0.583
0.703 0.250 0.417
0.797 0.750 0.917
0.010 0.750 0.714
0.011 0.750 0.094
0.068 0.750 0.468
0.176 0.250 0.779
0.197 0.250 0.382
0.303 0.750 0.882
0.324 0.750 0.279
0.432 0.250 0.968
0.489 0.250 0.594
0.490 0.250 0.214
0.510 0.750 0.786
0.511 0.750 0.406
0.568 0.750 0.032
0.676 0.250 0.721
0.697 0.250 0.118
0.803 0.750 0.618
0.824 0.750 0.221
0.932 0.250 0.532
0.989 0.250 0.906
0.990 0.250 0.286
0.108 0.750 0.896
0.111 0.250 0.582
0.130 0.750 0.273
0.370 0.250 0.773
0.389 0.750 0.082
0.392 0.250 0.396
0.608 0.750 0.604
0.611 0.250 0.918
0.630 0.750 0.227
0.870 0.250 0.727
0.889 0.750 0.418
0.892 0.250 0.104
```

Top 10 peaks for 10 to 90 degrees two-theta, low angle first:
2θ 26.79, intensity 18
2θ 29.94, intensity 14
2θ 35.45, intensity 14
2θ 37.69, intensity 19
2θ 38.86, intensity 100
2θ 39.11, intensity 69
2θ 40.14, intensity 26
2θ 49.54, intensity 38
2θ 53.56, intensity 21
2θ 75.94, intensity 15


Record 7
SmCo3P2: computed XRD peak list (Cu Kα X-rays), based on a crystal structure in the Materials Project, relaxed with GGA-PBE.
Intensities are scaled so that the largest is 100.

```
SmCo3P2
1.0
3.746 0.000 0.000
0.000 10.615 0.000
0.000 0.000 12.296
Sm Co P
6 18 12
Direct
0.250 0.066 0.206
0.250 0.250 0.476
0.250 0.434 0.206
0.750 0.566 0.794
0.750 0.750 0.524
0.750 0.934 0.794
0.250 0.131 0.708
0.250 0.250 0.014
0.250 0.369 0.708
0.250 0.546 0.431
0.250 0.584 0.994
0.250 0.750 0.158
0.250 0.750 0.703
0.250 0.916 0.994
0.250 0.954 0.431
0.750 0.046 0.569
0.750 0.084 0.006
0.750 0.250 0.297
0.750 0.250 0.842
0.750 0.416 0.006
0.750 0.454 0.569
0.750 0.631 0.292
0.750 0.750 0.986
0.750 0.869 0.292
0.250 0.100 0.895
0.250 0.400 0.895
0.250 0.558 0.615
0.250 0.750 0.343
0.250 0.750 0.884
0.250 0.942 0.615
0.750 0.058 0.385
0.750 0.250 0.116
0.750 0.250 0.657
0.750 0.442 0.385
0.750 0.600 0.105
0.750 0.900 0.105
```

Top 10 peaks for 10 to 90 degrees two-theta, low angle first:
2θ 29.09, intensity 11
2θ 33.47, intensity 12
2θ 37.90, intensity 100
2θ 38.83, intensity 13
2θ 40.43, intensity 13
2θ 48.62, intensity 20
2θ 51.54, intensity 12
2θ 51.66, intensity 8
2θ 73.55, intensity 8
2θ 83.61, intensity 9


Record 8
TaCoP: computed XRD peak list (Cu Kα X-rays), based on a crystal structure in the Materials Project, relaxed with GGA-PBE.
Intensities are scaled so that the largest is 100.

```
TaCoP
1.0
6.126 0.000 0.000
0.000 3.607 0.000
0.000 0.000 6.955
Ta Co P
4 4 4
Direct
0.026 0.250 0.173
0.474 0.750 0.673
0.526 0.250 0.327
0.974 0.750 0.827
0.148 0.250 0.563
0.352 0.750 0.063
0.648 0.250 0.937
0.852 0.750 0.437
0.222 0.750 0.379
0.278 0.250 0.879
0.722 0.750 0.121
0.778 0.250 0.621
```

Top 10 peaks for 10 to 90 degrees two-theta, low angle first:
2θ 27.86, intensity 48
2θ 29.16, intensity 25
2θ 38.56, intensity 19
2θ 38.86, intensity 100
2θ 39.19, intensity 19
2θ 40.77, intensity 87
2θ 41.65, intensity 46
2θ 46.34, intensity 18
2θ 50.61, intensity 27
2θ 67.55, intensity 22


Record 9
TbCo3P2: computed XRD peak list (Cu Kα X-rays), based on a crystal structure in the Materials Project, relaxed with GGA-PBE.
Intensities are scaled so that the largest is 100.

```
TbCo3P2
1.0
3.701 0.000 0.000
0.000 10.540 0.000
0.000 0.000 12.206
Tb Co P
6 18 12
Direct
0.250 0.067 0.206
0.250 0.250 0.477
0.250 0.433 0.206
0.750 0.567 0.794
0.750 0.750 0.523
0.750 0.933 0.794
0.250 0.130 0.709
0.250 0.250 0.014
0.250 0.370 0.709
0.250 0.547 0.431
0.250 0.583 0.995
0.250 0.750 0.159
0.250 0.750 0.703
0.250 0.917 0.995
0.250 0.953 0.431
0.750 0.047 0.569
0.750 0.083 0.005
0.750 0.250 0.297
0.750 0.250 0.841
0.750 0.417 0.005
0.750 0.453 0.569
0.750 0.630 0.291
0.750 0.750 0.986
0.750 0.870 0.291
0.250 0.098 0.893
0.250 0.402 0.893
0.250 0.560 0.616
0.250 0.750 0.344
0.250 0.750 0.883
0.250 0.940 0.616
0.750 0.060 0.384
0.750 0.250 0.117
0.750 0.250 0.656
0.750 0.440 0.384
0.750 0.598 0.107
0.750 0.902 0.107
```

Top 10 peaks for 10 to 90 degrees two-theta, low angle first:
2θ 29.30, intensity 12
2θ 30.43, intensity 9
2θ 38.26, intensity 100
2θ 39.21, intensity 9
2θ 40.74, intensity 13
2θ 49.24, intensity 20
2θ 51.94, intensity 12
2θ 52.06, intensity 9
2θ 74.41, intensity 14
2θ 84.78, intensity 9


Record 10
ThCo2P2: computed XRD peak list (Cu Kα X-rays), based on a crystal structure in the Materials Project, relaxed with GGA-PBE.
Intensities are scaled so that the largest is 100.

```
ThCo2P2
1.0
4.023 0.000 0.000
0.000 4.023 0.000
0.000 0.000 9.121
Th Co P
2 4 4
Direct
0.250 0.250 0.249
0.750 0.750 0.751
0.250 0.250 0.889
0.250 0.750 0.500
0.750 0.250 0.500
0.750 0.750 0.111
0.250 0.250 0.631
0.250 0.750 0.000
0.750 0.250 0.000
0.750 0.750 0.369
```

Top 10 peaks for 10 to 90 degrees two-theta, low angle first:
2θ 24.18, intensity 79
2θ 31.45, intensity 41
2θ 37.06, intensity 94
2θ 37.25, intensity 100
2θ 45.07, intensity 51
2θ 51.79, intensity 23
2θ 55.29, intensity 25
2θ 59.72, intensity 47
2θ 74.00, intensity 21
2θ 77.96, intensity 23


Record 11
Th2Co3P3: computed XRD peak list (Cu Kα X-rays), based on a crystal structure in the Materials Project, relaxed with GGA-PBE.
Intensities are scaled so that the largest is 100.

```
Th2Co3P3
1.0
5.384 0.000 0.000
0.000 5.384 0.000
0.000 0.000 17.847
Th Co P
2 3 3
Direct
0.000 0.000 0.235
0.000 0.000 0.765
0.000 0.000 0.119
0.000 0.000 0.500
0.000 0.000 0.881
0.000 0.000 0.000
0.000 0.000 0.379
0.000 0.000 0.621
```

Top 10 peaks for 10 to 90 degrees two-theta, low angle first:
2θ 16.47, intensity 100
2θ 19.25, intensity 27
2θ 23.37, intensity 44
2θ 25.44, intensity 14
2θ 25.94, intensity 13
2θ 33.28, intensity 18
2θ 37.35, intensity 26
2θ 38.74, intensity 10
2θ 43.93, intensity 11
2θ 56.21, intensity 12


Please write out number 8 again, unchanged.
TaCoP: computed XRD peak list (Cu Kα X-rays), based on a crystal structure in the Materials Project, relaxed with GGA-PBE.
Intensities are scaled so that the largest is 100.

```
TaCoP
1.0
6.126 0.000 0.000
0.000 3.607 0.000
0.000 0.000 6.955
Ta Co P
4 4 4
Direct
0.026 0.250 0.173
0.474 0.750 0.673
0.526 0.250 0.327
0.974 0.750 0.827
0.148 0.250 0.563
0.352 0.750 0.063
0.648 0.250 0.937
0.852 0.750 0.437
0.222 0.750 0.379
0.278 0.250 0.879
0.722 0.750 0.121
0.778 0.250 0.621
```

Top 10 peaks for 10 to 90 degrees two-theta, low angle first:
2θ 27.86, intensity 48
2θ 29.16, intensity 25
2θ 38.56, intensity 19
2θ 38.86, intensity 100
2θ 39.19, intensity 19
2θ 40.77, intensity 87
2θ 41.65, intensity 46
2θ 46.34, intensity 18
2θ 50.61, intensity 27
2θ 67.55, intensity 22